(1)
The following is a calculated PXRD pattern of GdTm3Ni4. It was derived from a crystal structure in OQMD, relaxed with GGA-PBE, using Cu Kα X-rays.

Most intense lines, 2θ = 10–90°, in order of rising 2θ:
| two_theta | I_rel |
| --- | --- |
| 27.27 | 38.9 |
| 30.20 | 87.7 |
| 33.72 | 100.0 |
| 35.81 | 47.0 |
| 35.96 | 45.3 |
| 37.69 | 40.3 |
| 37.84 | 45.0 |
| 42.17 | 39.0 |
| 42.34 | 61.0 |
| 43.89 | 51.8 |

Cell and atoms:
```
GdTm3Ni4
1.0
5.365 0.000 0.000
0.000 4.126 0.000
-0.044 0.000 6.952
Gd Tm Ni
1 3 4
direct
0.000 0.000 0.000
0.237 0.000 0.501
0.501 0.500 0.143
0.735 0.500 0.638
0.245 0.500 0.779
0.497 0.000 0.856
0.739 0.000 0.362
0.996 0.500 0.289
```

(2)
The following is a calculated PXRD pattern of Er3LuTe2C2. It was derived from a crystal structure in OQMD, relaxed with GGA-PBE, using Cu Kα X-rays.

Most intense lines, 2θ = 10–90°, in order of rising 2θ:
| two_theta | I_rel |
| --- | --- |
| 27.24 | 26.4 |
| 33.58 | 100.0 |
| 39.08 | 13.1 |
| 48.15 | 25.9 |
| 48.29 | 12.2 |
| 59.98 | 18.9 |
| 63.67 | 19.0 |
| 67.31 | 11.2 |
| 80.35 | 16.4 |
| 86.97 | 5.7 |

Cell and atoms:
```
Er3LuTe2C2
1.0
3.780 0.000 0.000
-1.890 3.274 0.000
0.000 0.000 13.829
Er Lu Te C
3 1 2 2
direct
0.000 0.000 0.000
0.000 0.000 0.316
0.667 0.333 0.814
0.667 0.333 0.499
0.000 0.000 0.655
0.667 0.333 0.158
0.333 0.667 0.409
0.333 0.667 0.907
```

(3)
The following is a calculated PXRD pattern of Na2Nb2O5. It was derived from a crystal structure in OQMD, relaxed with GGA-PBE, using Cu Kα X-rays.

Most intense lines, 2θ = 10–90°, in order of rising 2θ:
| two_theta | I_rel |
| --- | --- |
| 16.91 | 100.0 |
| 19.67 | 21.3 |
| 21.50 | 35.9 |
| 23.37 | 25.2 |
| 29.22 | 35.0 |
| 29.85 | 31.1 |
| 31.09 | 29.0 |
| 32.16 | 27.1 |
| 35.12 | 31.1 |
| 35.24 | 31.9 |

Cell and atoms:
```
Na2Nb2O5
1.0
5.120 0.000 0.000
2.107 4.683 0.000
2.251 1.624 5.242
Na Nb O
2 2 5
direct
0.000 0.000 0.000
0.283 0.277 0.170
0.470 0.481 0.555
0.785 0.800 0.631
0.052 0.469 0.815
0.201 0.783 0.353
0.433 0.675 0.815
0.622 0.094 0.823
0.669 0.204 0.347
```